Record 1
Calculated powder X-ray diffraction pattern
Compound: MnInFe
Radiation: Cu Kα, 1.54184 Å
Structure: DFT lattice parameters and positions (PBE)
Lines closer than 0.1° are merged.

Structure:
```
MnInFe
1.0
4.320 0.000 0.000
-2.160 3.741 0.000
0.000 0.000 2.795
Mn In Fe
1 1 1
Direct
0.000 0.000 0.000
0.667 0.333 0.500
0.333 0.667 0.000
```

Top 6 peaks for 2θ from 10° to 80°, by intensity:
| Position (°2θ) | I_rel |
| --- | --- |
| 40.27 | 100 |
| 41.82 | 79 |
| 59.45 | 30 |
| 75.32 | 29 |
| 23.78 | 23 |
| 76.36 | 12 |

***

Record 2
Calculated powder X-ray diffraction pattern
Compound: K2SrCl4
Radiation: Cu Kα, 1.54184 Å
Structure: DFT lattice parameters and positions (PBE)
Lines closer than 0.1° are merged.

Structure:
```
K2SrCl4
1.0
4.763 -6.495 0.000
4.763 6.495 0.000
-4.442 0.000 6.538
K Sr Cl
4 2 8
Direct
0.056 0.944 0.500
0.160 0.560 0.727
0.560 0.160 0.227
0.944 0.056 0.000
0.426 0.666 0.360
0.666 0.426 0.860
0.179 0.803 0.133
0.319 0.326 0.484
0.326 0.319 0.984
0.444 0.938 0.733
0.660 0.785 0.121
0.785 0.660 0.621
0.803 0.179 0.633
0.938 0.444 0.233
```

Top 6 peaks for 2θ from 10° to 80°, by intensity:
| Position (°2θ) | I_rel |
| --- | --- |
| 29.46 | 100 |
| 30.11 | 98 |
| 30.26 | 92 |
| 30.90 | 72 |
| 30.62 | 69 |
| 35.83 | 68 |